Entry 1:
For Tm3Be2Pt5, a cell relaxed with GGA-PBE gives the simulated XRD peak list in this record (Cu Ka).

Crystal structure
```
data_Tm3Be2Pt5
_space_group_name_H-M_alt 'P 1'
_space_group_IT_number 1
_cell_length_a 9.597
_cell_length_b 9.597
_cell_length_c 3.649
_cell_angle_alpha 90.00
_cell_angle_beta 90.00
_cell_angle_gamma 90.00
loop_
_space_group_symop_operation_xyz
'x,y,z'
loop_
_atom_site_label
_atom_site_fract_x
_atom_site_fract_y
_atom_site_fract_z
Tm1 0.000 0.000 0.000
Tm2 0.177 0.323 0.000
Tm3 0.323 0.823 0.000
Tm4 0.500 0.500 0.000
Tm5 0.677 0.177 0.000
Tm6 0.823 0.677 0.000
Be1 0.117 0.617 0.000
Be2 0.383 0.117 0.000
Be3 0.617 0.883 0.000
Be4 0.883 0.383 0.000
Pt1 0.000 0.500 0.500
Pt2 0.071 0.779 0.500
Pt3 0.221 0.071 0.500
Pt4 0.279 0.571 0.500
Pt5 0.429 0.279 0.500
Pt6 0.500 0.000 0.500
Pt7 0.571 0.721 0.500
Pt8 0.721 0.429 0.500
Pt9 0.779 0.929 0.500
Pt10 0.929 0.221 0.500
```

The 6 most intense peaks (2θ = 5–70°), in order of falling intensity:
38.62°, intensity 100
32.20°, intensity 47
42.06°, intensity 44
36.15°, intensity 24
64.94°, intensity 17
49.99°, intensity 17

=====

Entry 2:
For Tm3Be5Pt6, a cell relaxed with GGA-PBE gives the simulated XRD peak list in this record (Cu Ka).

Crystal structure
```
data_Tm3Be5Pt6
_space_group_name_H-M_alt 'P 1'
_space_group_IT_number 1
_cell_length_a 3.927
_cell_length_b 12.242
_cell_length_c 8.852
_cell_angle_alpha 90.00
_cell_angle_beta 90.00
_cell_angle_gamma 90.00
loop_
_space_group_symop_operation_xyz
'x,y,z'
loop_
_atom_site_label
_atom_site_fract_x
_atom_site_fract_y
_atom_site_fract_z
Tm1 0.250 0.051 0.249
Tm2 0.250 0.449 0.249
Tm3 0.250 0.750 0.257
Tm4 0.750 0.250 0.743
Tm5 0.750 0.551 0.751
Tm6 0.750 0.949 0.751
Be1 0.250 0.096 0.872
Be2 0.250 0.404 0.872
Be3 0.250 0.632 0.540
Be4 0.250 0.750 0.804
Be5 0.250 0.868 0.540
Be6 0.750 0.132 0.460
Be7 0.750 0.250 0.196
Be8 0.750 0.368 0.460
Be9 0.750 0.596 0.128
Be10 0.750 0.904 0.128
Pt1 0.250 0.070 0.601
Pt2 0.250 0.250 0.032
Pt3 0.250 0.250 0.402
Pt4 0.250 0.430 0.601
Pt5 0.250 0.587 0.987
Pt6 0.250 0.913 0.987
Pt7 0.750 0.087 0.013
Pt8 0.750 0.413 0.013
Pt9 0.750 0.570 0.399
Pt10 0.750 0.750 0.598
Pt11 0.750 0.750 0.968
Pt12 0.750 0.930 0.399
```

The 6 most intense peaks (2θ = 5–70°), in order of falling intensity:
37.73°, intensity 100
33.24°, intensity 74
37.62°, intensity 54
44.39°, intensity 48
46.24°, intensity 43
41.00°, intensity 39

=====

Entry 3:
For Tm2Be6Pt9, a cell relaxed with GGA-PBE gives the simulated XRD peak list in this record (Cu Ka).

Crystal structure
```
data_Tm2Be6Pt9
_space_group_name_H-M_alt 'P 1'
_space_group_IT_number 1
_cell_length_a 5.494
_cell_length_b 5.494
_cell_length_c 10.158
_cell_angle_alpha 90.00
_cell_angle_beta 90.00
_cell_angle_gamma 120.00
loop_
_space_group_symop_operation_xyz
'x,y,z'
loop_
_atom_site_label
_atom_site_fract_x
_atom_site_fract_y
_atom_site_fract_z
Tm1 0.000 0.000 0.190
Tm2 0.000 0.000 0.810
Be1 0.333 0.667 0.166
Be2 0.333 0.667 0.500
Be3 0.333 0.667 0.834
Be4 0.667 0.333 0.166
Be5 0.667 0.333 0.500
Be6 0.667 0.333 0.834
Pt1 0.000 0.500 0.000
Pt2 0.000 0.500 0.333
Pt3 0.000 0.500 0.667
Pt4 0.500 0.000 0.000
Pt5 0.500 0.000 0.333
Pt6 0.500 0.000 0.667
Pt7 0.500 0.500 0.000
Pt8 0.500 0.500 0.333
Pt9 0.500 0.500 0.667
```

The 6 most intense peaks (2θ = 5–70°), in order of falling intensity:
37.82°, intensity 100
46.67°, intensity 55
32.46°, intensity 53
26.32°, intensity 39
67.96°, intensity 33
42.37°, intensity 29